For Rb2ZnIrF6, a cell relaxed with GGA-PBE gives the simulated PXRD pattern in this record (Cu Kα (λ = 1.5418 Å)).
No peak broadening, texture or thermal motion is included.

Crystal structure
```
10
Lattice="-3.0252 3.0252 4.2729 3.0252 -3.0252 4.2729 3.0252 3.0252 -4.2729" Properties=species:S:1:pos:R:3 pbc="T T T"
Rb 3.0252 0.0000 2.1364
Rb 0.0000 3.0252 2.1364
Zn 0.0000 0.0000 0.0000
Ir 0.0000 0.0000 4.2729
F 0.0000 0.0000 2.1147
F 1.4940 1.4940 0.0000
F 1.5312 -1.5312 4.2729
F -1.5312 1.5312 4.2729
F 0.0000 0.0000 6.4311
F 1.5312 1.5312 4.2729
```

Main lines, low angle first (10 to 90 degrees two-theta):
2θ (°)  I (rel.)
18.0  18.3
20.8  12.4
29.5  100.0
42.3  36.4
52.4  41.0
61.3  22.6
69.5  17.9
84.8  21.5


For NaTi7O12, a cell relaxed with GGA-PBE gives the simulated PXRD pattern in this record (Cu Kα (λ = 1.5418 Å)).
No peak broadening, texture or thermal motion is included.

Crystal structure
```
20
Lattice="-3.7749 3.7749 3.7749 3.7749 -3.7749 3.7749 3.7749 3.7749 -3.7749" Properties=species:S:1:pos:R:3 pbc="T T T"
Na 0.0000 0.0000 0.0000
Ti 1.8875 1.8875 -1.8875
Ti 1.8875 -1.8875 1.8875
Ti 3.7749 0.0000 0.0000
Ti -1.8875 1.8875 1.8875
Ti 0.0000 3.7749 0.0000
Ti 0.0000 0.0000 3.7749
Ti 1.8875 1.8875 1.8875
O 3.7749 2.3497 -1.4338
O 2.3411 0.0000 1.4252
O 5.2088 0.0000 1.4252
O 1.4252 2.3411 0.0000
O 2.3497 -1.4338 3.7749
O 0.0000 1.4252 2.3411
O 3.7749 2.3497 1.4338
O 1.4252 5.2088 0.0000
O 2.3497 1.4338 3.7749
O -1.4338 3.7749 2.3497
O 1.4338 3.7749 2.3497
O 0.0000 1.4252 5.2088
```

Main lines, low angle first (10 to 90 degrees two-theta):
2θ (°)  I (rel.)
16.6  7.8
33.6  100.0
37.7  11.7
44.9  6.5
48.2  34.2
60.0  53.8
70.6  14.1
80.5  15.6


For TbB2N2, a cell relaxed with GGA-PBE gives the simulated PXRD pattern in this record (Cu Kα (λ = 1.5418 Å)).
No peak broadening, texture or thermal motion is included.

Crystal structure
```
5
Lattice="4.6040 0.0000 0.0000 -2.3020 3.9872 0.0000 0.0000 0.0000 2.8055" Properties=species:S:1:pos:R:3 pbc="T T T"
Tb 0.0000 0.0000 0.0000
B 0.0000 2.6581 1.4027
B 2.3020 1.3291 1.4027
N 0.0000 2.6581 0.0000
N 2.3020 1.3291 0.0000
```

Main lines, low angle first (10 to 90 degrees two-theta):
2θ (°)  I (rel.)
22.3  100.0
31.9  22.1
39.1  52.9
39.3  61.4
45.5  16.7
51.3  34.0
56.6  21.5
71.0  30.6


For LiTm5S8, a cell relaxed with GGA-PBE gives the simulated PXRD pattern in this record (Cu Kα (λ = 1.5418 Å)).
No peak broadening, texture or thermal motion is included.

Crystal structure
```
14
Lattice="0.0000 5.5867 5.5867 5.5867 0.0000 5.5867 5.5867 5.5867 0.0000" Properties=species:S:1:pos:R:3 pbc="T T T"
Li 0.0000 0.0000 0.0000
Tm 7.0367 4.1367 4.1367
Tm 2.7933 2.7933 2.7933
Tm 4.1367 7.0367 4.1367
Tm 4.1367 4.1367 7.0367
Tm 7.0367 7.0367 7.0367
S 4.2851 4.2851 4.2851
S 6.8882 6.8882 4.2851
S 6.8882 4.2851 6.8882
S 9.7032 7.0569 7.0569
S 4.2851 6.8882 6.8882
S 7.0569 9.7032 7.0569
S 7.0569 7.0569 9.7032
S 9.7032 9.7032 9.7032
```

Main lines, low angle first (10 to 90 degrees two-theta):
2θ (°)  I (rel.)
13.7  44.8
26.5  100.0
27.7  25.7
32.0  41.4
42.0  46.9
45.9  62.0
64.0  23.9
85.1  19.9


For CaSn4, a cell relaxed with GGA-PBE gives the simulated PXRD pattern in this record (Cu Kα (λ = 1.5418 Å)).
No peak broadening, texture or thermal motion is included.

Crystal structure
```
10
Lattice="-2.3821 3.3044 8.7973 2.3821 -3.3044 8.7973 2.3821 3.3044 -8.7973" Properties=species:S:1:pos:R:3 pbc="T T T"
Ca 0.0000 1.6522 1.8502
Ca 2.3821 1.6522 6.9471
Sn 2.3821 0.0000 0.0000
Sn 2.3821 -1.6522 7.1679
Sn 2.3821 -0.1216 3.4113
Sn 2.3821 3.1828 -3.4113
Sn 0.0000 0.0000 8.7973
Sn 0.0000 0.1216 12.2086
Sn 0.0000 3.4260 5.3860
Sn 0.0000 4.9566 1.6294
```

Main lines, low angle first (10 to 90 degrees two-theta):
2θ (°)  I (rel.)
31.6  100.0
33.4  73.3
33.9  24.1
37.8  32.2
41.2  27.2
57.1  21.9
65.4  34.1
68.0  15.4


For PrTmAl, a cell relaxed with GGA-PBE gives the simulated PXRD pattern in this record (Cu Kα (λ = 1.5418 Å)).
No peak broadening, texture or thermal motion is included.

Crystal structure
```
6
Lattice="3.4945 0.0000 0.0000 0.0000 3.4945 0.0000 0.0000 0.0000 13.6086" Properties=species:S:1:pos:R:3 pbc="T T T"
Pr 0.0000 0.0000 0.0000
Pr 1.7473 1.7473 6.8043
Tm 0.0000 0.0000 4.0110
Tm 1.7473 1.7473 10.8153
Al 0.0000 0.0000 8.9377
Al 1.7473 1.7473 2.1334
```

Main lines, low angle first (10 to 90 degrees two-theta):
2θ (°)  I (rel.)
26.2  23.7
26.3  43.1
32.3  100.0
36.4  41.4
45.4  21.9
54.0  19.9
59.5  18.9
62.9  29.6


For Sr2AlCd3In4, a cell relaxed with GGA-PBE gives the simulated PXRD pattern in this record (Cu Kα (λ = 1.5418 Å)).
No peak broadening, texture or thermal motion is included.

Crystal structure
```
10
Lattice="4.6126 0.0000 0.0000 0.0000 4.6126 0.0000 0.0000 0.0000 12.8385" Properties=species:S:1:pos:R:3 pbc="T T T"
Sr 0.0000 2.3063 3.1404
Sr 2.3063 0.0000 9.6982
Al 2.3063 2.3063 0.0000
Cd 0.0000 0.0000 0.0000
Cd 0.0000 2.3063 8.2978
Cd 2.3063 0.0000 4.5407
In 0.0000 0.0000 6.4193
In 0.0000 2.3063 11.1083
In 2.3063 0.0000 1.7302
In 2.3063 2.3063 6.4193
```

Main lines, low angle first (10 to 90 degrees two-theta):
2θ (°)  I (rel.)
20.5  27.1
28.5  48.4
30.7  100.0
39.1  65.0
39.4  48.0
40.2  44.1
57.3  30.1
65.6  21.5


For Cs3Ca2I7, a cell relaxed with GGA-PBE gives the simulated PXRD pattern in this record (Cu Kα (λ = 1.5418 Å)).
No peak broadening, texture or thermal motion is included.

Crystal structure
```
12
Lattice="-3.1052 3.1052 15.8154 3.1052 -3.1052 15.8154 3.1052 3.1052 -15.8154" Properties=species:S:1:pos:R:3 pbc="T T T"
Cs 0.0000 0.0000 0.0000
Cs 0.0000 0.0000 5.7150
Cs 0.0000 0.0000 25.9158
Ca 0.0000 0.0000 12.6495
Ca 0.0000 0.0000 18.9813
I 3.1052 0.0000 3.0093
I 0.0000 0.0000 9.5733
I 3.1052 0.0000 12.8061
I 0.0000 0.0000 15.8154
I 0.0000 3.1052 3.0093
I 0.0000 0.0000 22.0575
I 0.0000 3.1052 12.8061
```

Main lines, low angle first (10 to 90 degrees two-theta):
2θ (°)  I (rel.)
23.2  48.4
26.4  100.0
28.2  30.5
28.7  79.3
40.7  44.5
41.1  29.6
49.5  35.1
50.6  41.8


For Os7C6, a cell relaxed with GGA-PBE gives the simulated PXRD pattern in this record (Cu Kα (λ = 1.5418 Å)).
No peak broadening, texture or thermal motion is included.

Crystal structure
```
13
Lattice="2.7986 1.6158 6.3906 -2.7986 1.6158 6.3906 0.0000 -3.2315 6.3906" Properties=species:S:1:pos:R:3 pbc="T T T"
Os 0.0000 0.0000 0.0000
Os 0.0000 -1.5199 4.5506
Os -1.3163 0.7600 4.5506
Os -1.3163 -0.7600 14.6212
Os 1.3163 0.7600 4.5506
Os 1.3163 -0.7600 14.6212
Os 0.0000 1.5200 14.6212
C 0.0000 0.0000 3.0079
C 0.0000 0.0000 6.0623
C 0.0000 0.0000 7.4379
C 0.0000 0.0000 11.7338
C 0.0000 0.0000 13.1095
C 0.0000 0.0000 16.1639
```

Main lines, low angle first (10 to 90 degrees two-theta):
2θ (°)  I (rel.)
18.9  100.0
27.9  35.9
37.4  55.9
38.3  57.7
43.0  31.8
44.2  38.5
50.3  61.1
66.9  26.1


For MgTi4Cu3O12, a cell relaxed with GGA-PBE gives the simulated PXRD pattern in this record (Cu Kα (λ = 1.5418 Å)).
No peak broadening, texture or thermal motion is included.

Crystal structure
```
20
Lattice="5.2860 -3.7603 0.0000 5.2860 3.7603 0.0000 -5.2502 0.0000 5.4908" Properties=species:S:1:pos:R:3 pbc="T T T"
Mg 0.0000 0.0000 0.0000
Ti 3.1013 1.9650 4.9085
Ti 5.7876 1.9177 2.0852
Ti 5.7876 -1.9177 2.0852
Ti 3.1013 -1.9650 4.9085
Cu 8.6066 0.0000 2.0550
Cu 0.6431 0.0000 4.8336
Cu 6.4334 0.0000 3.5009
O 1.6118 1.3704 0.4040
O 4.2497 2.3702 1.0051
O 2.3754 2.3466 3.0880
O 0.6254 0.0000 2.6853
O -1.3322 0.0000 4.8893
O 1.6118 -1.3704 0.4040
O 5.0461 1.3630 3.7406
O 5.8691 0.0000 1.3551
O 2.6553 0.0000 4.7955
O 4.2497 -2.3702 1.0051
O 2.3754 -2.3466 3.0880
O 5.0461 -1.3630 3.7406
```

Main lines, low angle first (10 to 90 degrees two-theta):
2θ (°)  I (rel.)
16.6  100.0
28.4  41.2
33.4  98.0
33.5  42.6
33.9  35.7
43.8  23.0
47.6  23.9
48.4  30.9


For LiTlSnAs2, a cell relaxed with GGA-PBE gives the simulated PXRD pattern in this record (Cu Kα (λ = 1.5418 Å)).
No peak broadening, texture or thermal motion is included.

Crystal structure
```
10
Lattice="6.9828 -2.1719 0.0000 6.9828 2.1719 0.0000 -6.0235 0.0000 8.6894" Properties=species:S:1:pos:R:3 pbc="T T T"
Li -0.5323 0.0000 3.6726
Li 8.4743 0.0000 5.0168
Tl -0.7603 0.0000 7.4148
Tl 8.7023 0.0000 1.2746
Sn 4.5051 0.0000 2.6541
Sn 3.4369 0.0000 6.0353
As -4.2769 0.0000 7.4791
As 2.0648 0.0000 3.7031
As 5.8772 0.0000 4.9863
As 12.2189 0.0000 1.2103
```

Main lines, low angle first (10 to 90 degrees two-theta):
2θ (°)  I (rel.)
21.9  52.3
25.7  70.1
26.6  51.8
26.9  57.6
33.1  100.0
33.2  83.2
41.6  47.1
43.0  50.2


For HfNp2As3, a cell relaxed with GGA-PBE gives the simulated PXRD pattern in this record (Cu Kα (λ = 1.5418 Å)).
No peak broadening, texture or thermal motion is included.

Crystal structure
```
12
Lattice="4.0236 0.0000 0.0000 0.0000 4.0236 0.0000 0.0000 0.0000 16.9144" Properties=species:S:1:pos:R:3 pbc="T T T"
Hf 0.0000 0.0000 0.0000
Hf 2.0118 2.0118 8.4572
Np 0.0000 0.0000 5.6409
Np 0.0000 0.0000 11.2735
Np 2.0118 2.0118 2.8163
Np 2.0118 2.0118 14.0982
As 0.0000 0.0000 2.7253
As 0.0000 0.0000 8.4572
As 0.0000 0.0000 14.1892
As 2.0118 2.0118 0.0000
As 2.0118 2.0118 5.7319
As 2.0118 2.0118 11.1825
```

Main lines, low angle first (10 to 90 degrees two-theta):
2θ (°)  I (rel.)
27.2  61.5
31.4  100.0
31.7  48.4
45.1  37.5
45.3  73.4
53.5  20.7
56.2  39.1
83.3  25.9


For Np2InSi3Pt4, a cell relaxed with GGA-PBE gives the simulated PXRD pattern in this record (Cu Kα (λ = 1.5418 Å)).
No peak broadening, texture or thermal motion is included.

Crystal structure
```
10
Lattice="4.1314 0.0000 0.0000 0.0000 4.1314 0.0000 0.0000 0.0000 10.8694" Properties=species:S:1:pos:R:3 pbc="T T T"
Np 0.0000 2.0657 2.6156
Np 2.0657 0.0000 8.2538
In 0.0000 0.0000 5.4347
Si 0.0000 2.0657 9.4950
Si 2.0657 0.0000 1.3744
Si 2.0657 2.0657 5.4347
Pt 0.0000 0.0000 0.0000
Pt 0.0000 2.0657 7.1391
Pt 2.0657 0.0000 3.7303
Pt 2.0657 2.0657 0.0000
```

Main lines, low angle first (10 to 90 degrees two-theta):
2θ (°)  I (rel.)
27.1  19.0
32.9  39.1
34.9  100.0
43.8  42.2
47.2  24.9
55.9  22.2
66.4  18.3
74.7  22.6